For EuAl3Pb2O8, a GGA-PBE-relaxed structure gives the calculated X-ray powder pattern in this record (Cu Kα (λ = 1.5418 Å)).

Largest 10 diffraction maxima, low angle first, 10° ≤ 2θ ≤ 90°:
d 6.795, I = 68.4
d 3.203, I = 100.0
d 3.039, I = 76.7
d 2.897, I = 65.9
d 2.265, I = 46.4
d 1.885, I = 27.5
d 1.849, I = 37.2
d 1.699, I = 38.2
d 1.673, I = 26.0
d 1.648, I = 22.5

Structural model:
abc: 9.6096 9.6096 9.6096
angles: 90.00 90.00 90.00
Space group Pn-3m (No. 224, origin choice 2)
Symmetry-distinct sites (fractional):
Eu (0.0000, 0.0000, 0.0000) [4 per cell]
Al (0.0000, 0.2500, 0.7500) [12 per cell]
Pb (0.1150, 0.1150, 0.3850) [8 per cell]
O (0.0930, 0.0930, 0.7619) [24 per cell]
O (0.1402, 0.1402, 0.1402) [8 per cell]